(1)
This entry pairs a crystal structure of V12Zn3Si with its calculated XRD peak list. Radiation: Cu Kα, 1.54184 Å. Structure: a PBE-relaxed structure.

Cell and atoms:
```
V12Zn3Si
1.0
4.751 0.000 0.000
0.000 4.757 0.000
0.000 0.000 9.507
V Zn Si
12 3 1
Cartesian
0.000 0.000 1.157
0.000 0.000 3.567
0.000 0.000 5.940
0.000 0.000 8.350
1.176 2.379 2.438
1.176 2.379 7.068
2.376 1.177 0.000
2.376 1.222 4.753
2.376 3.536 4.753
2.376 3.580 0.000
3.575 2.379 2.438
3.575 2.379 7.068
0.000 2.379 0.000
2.376 0.000 2.385
2.376 0.000 7.122
0.000 2.379 4.753
```

Top 6 peaks for 10° ≤ 2θ ≤ 80°, low angle first:
- 37.85 deg, intensity 43.5
- 42.52 deg, intensity 100.0
- 46.81 deg, intensity 91.7
- 68.35 deg, intensity 5.1
- 71.56 deg, intensity 18.2
- 74.71 deg, intensity 40.9

(2)
This entry pairs a crystal structure of ZrVSi with its calculated XRD peak list. Radiation: Cu Kα, 1.54184 Å. Structure: a PBE-relaxed structure.

Cell and atoms:
```
ZrVSi
1.0
3.689 0.000 0.000
0.000 3.689 0.000
0.000 0.000 7.248
Zr V Si
2 2 2
Cartesian
0.922 0.922 1.020
2.767 2.767 6.228
0.922 2.767 3.624
2.767 0.922 3.624
0.922 0.922 5.402
2.767 2.767 1.846
```

Top 6 peaks for 10° ≤ 2θ ≤ 80°, low angle first:
- 27.12 deg, intensity 35.1
- 34.70 deg, intensity 85.7
- 36.61 deg, intensity 100.0
- 37.22 deg, intensity 34.2
- 42.71 deg, intensity 50.4
- 49.41 deg, intensity 51.2

(3)
This entry pairs a crystal structure of ZrV3Si2 with its calculated XRD peak list. Radiation: Cu Kα, 1.54184 Å. Structure: a PBE-relaxed structure.

Cell and atoms:
```
ZrV3Si2
1.0
6.549 -2.028 0.000
6.549 2.028 0.000
-3.623 0.000 6.894
Zr V Si
2 6 4
Cartesian
1.706 0.000 0.400
7.770 0.000 6.494
-0.759 0.000 2.530
2.212 0.000 3.577
4.306 0.000 2.299
5.169 0.000 4.595
7.264 0.000 3.317
10.235 0.000 4.363
-0.057 0.000 4.943
3.152 0.000 5.794
6.324 0.000 1.100
9.533 0.000 1.950
```

Top 6 peaks for 10° ≤ 2θ ≤ 80°, low angle first:
- 34.66 deg, intensity 32.7
- 38.59 deg, intensity 100.0
- 41.84 deg, intensity 86.0
- 42.67 deg, intensity 28.8
- 44.69 deg, intensity 49.0
- 58.67 deg, intensity 24.6

(4)
This entry pairs a crystal structure of Si5W3 with its calculated XRD peak list. Radiation: Cu Kα, 1.54184 Å. Structure: a PBE-relaxed structure.

Cell and atoms:
```
Si5W3
1.0
3.133 -6.401 0.000
3.133 6.401 0.000
-2.800 0.000 6.049
Si W
10 6
Cartesian
0.000 0.000 0.000
-1.360 2.055 5.526
1.629 5.046 2.745
1.536 1.828 2.218
-1.360 -2.055 5.526
1.560 1.598 5.131
2.990 0.000 0.946
1.536 -1.828 2.218
1.560 -1.598 5.131
1.629 -5.046 2.745
-0.045 3.250 3.777
2.645 3.824 0.885
-0.280 0.000 4.558
-0.045 -3.250 3.777
2.767 0.000 3.443
2.645 -3.824 0.885
```

Top 6 peaks for 10° ≤ 2θ ≤ 80°, low angle first:
- 26.56 deg, intensity 51.0
- 27.87 deg, intensity 60.0
- 28.53 deg, intensity 63.2
- 40.32 deg, intensity 100.0
- 41.06 deg, intensity 38.4
- 44.77 deg, intensity 43.1

(5)
This entry pairs a crystal structure of Si5W with its calculated XRD peak list. Radiation: Cu Kα, 1.54184 Å. Structure: a PBE-relaxed structure.

Cell and atoms:
```
Si5W
1.0
9.529 0.000 0.000
0.000 3.197 0.000
-2.498 0.000 5.728
Si W
10 2
Cartesian
0.000 0.000 0.000
-1.356 0.000 3.590
0.753 1.599 1.881
1.084 0.000 3.825
3.083 0.000 1.588
4.764 1.599 0.000
3.408 1.599 3.590
5.518 0.000 1.881
5.848 1.599 3.825
7.847 1.599 1.588
-0.328 1.599 5.505
4.436 0.000 5.505
```

Top 6 peaks for 10° ≤ 2θ ≤ 80°, low angle first:
- 15.47 deg, intensity 100.0
- 20.04 deg, intensity 53.7
- 20.34 deg, intensity 53.8
- 29.73 deg, intensity 64.5
- 35.62 deg, intensity 55.5
- 40.43 deg, intensity 61.7

(6)
This entry pairs a crystal structure of Si2W3 with its calculated XRD peak list. Radiation: Cu Kα, 1.54184 Å. Structure: a PBE-relaxed structure.

Cell and atoms:
```
Si2W3
1.0
0.000 4.470 6.977
2.396 0.000 6.977
2.396 4.470 0.000
Si W
4 6
Cartesian
1.797 3.352 0.976
2.995 5.587 4.465
1.797 3.352 9.489
2.995 5.587 12.978
0.599 1.117 1.744
1.797 3.352 3.681
1.797 3.352 6.785
2.995 5.587 7.169
2.995 5.587 10.273
4.193 7.822 12.210
```

Top 6 peaks for 10° ≤ 2θ ≤ 80°, low angle first:
- 23.64 deg, intensity 41.3
- 28.55 deg, intensity 65.1
- 38.67 deg, intensity 100.0
- 40.36 deg, intensity 48.0
- 42.82 deg, intensity 81.3
- 48.56 deg, intensity 52.4

(7)
This entry pairs a crystal structure of Si5W with its calculated XRD peak list. Radiation: Cu Kα, 1.54184 Å. Structure: a PBE-relaxed structure.

Cell and atoms:
```
Si5W
1.0
3.225 0.000 0.000
0.000 3.225 0.000
0.000 0.000 8.262
Si W
5 1
Cartesian
0.000 0.000 0.000
0.000 0.000 2.838
0.000 0.000 5.424
1.612 1.612 1.439
1.612 1.612 6.823
1.612 1.612 4.131
```

Top 6 peaks for 10° ≤ 2θ ≤ 80°, low angle first:
- 10.71 deg, intensity 100.0
- 27.66 deg, intensity 22.1
- 29.74 deg, intensity 36.6
- 39.52 deg, intensity 39.2
- 43.20 deg, intensity 60.0
- 74.23 deg, intensity 24.4

(8)
This entry pairs a crystal structure of Si23W with its calculated XRD peak list. Radiation: Cu Kα, 1.54184 Å. Structure: a PBE-relaxed structure.

Cell and atoms:
```
Si23W
1.0
10.184 0.000 0.000
0.000 10.184 0.000
0.000 0.000 10.184
Si W
46 2
Cartesian
0.000 1.183 3.141
0.000 1.183 7.043
0.000 2.546 5.092
0.000 7.638 5.092
0.000 9.001 3.141
0.000 9.001 7.043
1.183 3.141 0.000
1.183 7.043 0.000
1.841 1.841 1.841
1.841 1.841 8.344
1.841 8.344 1.841
1.841 8.344 8.344
1.951 3.909 5.092
1.951 6.275 5.092
2.546 5.092 0.000
3.141 0.000 1.183
3.141 0.000 9.001
3.251 3.251 3.251
3.251 3.251 6.933
3.251 6.933 3.251
3.251 6.933 6.933
3.909 5.092 1.951
3.909 5.092 8.233
5.092 0.000 2.546
5.092 0.000 7.638
5.092 1.951 3.909
5.092 1.951 6.275
5.092 8.233 3.909
5.092 8.233 6.275
6.275 5.092 1.951
6.275 5.092 8.233
6.933 3.251 3.251
6.933 3.251 6.933
6.933 6.933 3.251
6.933 6.933 6.933
7.043 0.000 1.183
7.043 0.000 9.001
7.638 5.092 0.000
8.233 3.909 5.092
8.233 6.275 5.092
8.344 1.841 1.841
8.344 1.841 8.344
8.344 8.344 1.841
8.344 8.344 8.344
9.001 3.141 0.000
9.001 7.043 0.000
0.000 0.000 0.000
5.092 5.092 5.092
```

Top 6 peaks for 10° ≤ 2θ ≤ 80°, low angle first:
- 12.29 deg, intensity 100.0
- 19.49 deg, intensity 19.7
- 32.91 deg, intensity 89.8
- 37.47 deg, intensity 26.8
- 54.02 deg, intensity 16.4
- 55.63 deg, intensity 35.2

(9)
This entry pairs a crystal structure of Si2W with its calculated XRD peak list. Radiation: Cu Kα, 1.54184 Å. Structure: a PBE-relaxed structure.

Cell and atoms:
```
Si2W
1.0
4.613 0.000 0.000
-2.306 3.995 0.000
0.000 0.000 6.648
Si W
6 3
Cartesian
0.000 1.308 0.000
-1.174 3.341 2.216
1.132 0.654 4.432
1.174 3.341 4.432
3.480 0.654 2.216
2.306 2.687 0.000
-1.153 1.997 4.432
2.306 0.000 0.000
1.153 1.997 2.216
```

Top 6 peaks for 10° ≤ 2θ ≤ 80°, low angle first:
- 26.02 deg, intensity 100.0
- 35.12 deg, intensity 47.0
- 40.72 deg, intensity 28.4
- 41.44 deg, intensity 72.0
- 45.41 deg, intensity 26.1
- 48.01 deg, intensity 47.1

(10)
This entry pairs a crystal structure of YSiW4 with its calculated XRD peak list. Radiation: Cu Kα, 1.54184 Å. Structure: a PBE-relaxed structure.

Cell and atoms:
```
YSiW4
1.0
0.000 3.812 3.812
3.812 0.000 3.812
3.812 3.812 0.000
Y Si W
1 1 4
Cartesian
0.000 0.000 0.000
5.718 5.718 5.718
2.862 2.862 2.862
4.762 4.762 2.862
4.762 2.862 4.762
2.862 4.762 4.762
```

Top 6 peaks for 10° ≤ 2θ ≤ 80°, low angle first:
- 20.17 deg, intensity 68.6
- 39.19 deg, intensity 100.0
- 41.01 deg, intensity 77.5
- 47.72 deg, intensity 26.4
- 63.39 deg, intensity 32.7
- 69.78 deg, intensity 32.7

(11)
This entry pairs a crystal structure of ZrSi2W with its calculated XRD peak list. Radiation: Cu Kα, 1.54184 Å. Structure: a PBE-relaxed structure.

Cell and atoms:
```
ZrSi2W
1.0
5.713 0.000 0.000
0.000 6.475 0.000
0.000 0.000 3.482
Zr Si W
2 4 2
Cartesian
0.000 0.000 0.000
2.857 3.238 0.000
1.428 1.619 1.741
1.428 4.856 1.741
4.285 1.619 1.741
4.285 4.856 1.741
0.000 3.238 0.000
2.857 0.000 0.000
```

Top 6 peaks for 10° ≤ 2θ ≤ 80°, low angle first:
- 25.58 deg, intensity 59.3
- 27.55 deg, intensity 49.4
- 37.95 deg, intensity 100.0
- 40.86 deg, intensity 81.1
- 42.19 deg, intensity 74.0
- 49.99 deg, intensity 43.0

(12)
This entry pairs a crystal structure of Y5Si4 with its calculated XRD peak list. Radiation: Cu Kα, 1.54184 Å. Structure: a PBE-relaxed structure.

Cell and atoms:
```
Y5Si4
1.0
7.449 0.000 0.000
0.000 14.621 0.000
0.000 0.000 7.703
Y Si
20 16
Cartesian
0.231 1.444 1.411
0.231 5.867 1.411
1.089 10.966 3.942
1.369 1.793 5.235
1.369 5.518 5.235
2.356 9.103 1.383
2.356 12.828 1.383
2.635 3.655 0.091
3.493 8.754 5.262
3.493 13.178 5.262
3.955 1.444 2.440
3.955 5.867 2.440
4.813 10.966 7.612
5.093 1.793 6.319
5.093 5.518 6.319
6.080 9.103 2.468
6.080 12.828 2.468
6.360 3.655 3.760
7.218 8.754 6.291
7.218 13.178 6.291
0.144 10.966 0.799
1.075 7.904 3.638
1.075 14.028 3.638
1.765 3.655 2.877
1.959 10.966 6.728
2.650 0.593 7.490
2.650 6.717 7.490
3.580 3.655 4.650
3.869 10.966 3.053
4.799 7.904 0.213
4.799 14.028 0.213
5.490 3.655 0.974
5.684 10.966 4.826
6.374 0.593 4.064
6.374 6.717 4.064
7.304 3.655 6.904
```

Top 6 peaks for 10° ≤ 2θ ≤ 80°, low angle first:
- 30.20 deg, intensity 39.0
- 31.96 deg, intensity 66.6
- 32.41 deg, intensity 100.0
- 33.81 deg, intensity 69.2
- 34.04 deg, intensity 42.5
- 38.08 deg, intensity 38.7